For DyEr6Os2, a GGA-PBE-relaxed structure gives the computed powder X-ray diffraction pattern in this record (Cu Kα).
Intensities are scaled so that the largest is 100.

The 6 most intense peaks (2θ from 15° to 90°), in order of rising 2θ:
d (Å)	I (rel.)	(hkl)
5.357	70	1 0 0
3.105	77	1 1 2
2.711	49	0 0 4
2.679	100	2 0 0
1.905	71	2 0 4
1.553	37	2 2 4

Atomic structure:
```
data_DyEr6Os2
_chemical_formula_sum 'Dy1 Er6 Os2'
_space_group_name_H-M_alt 'P 4/m m m'
_space_group_IT_number 123
_space_group_name_Hall '-P 4 2'
_cell_length_a 5.357
_cell_length_b 5.357
_cell_length_c 10.844
_cell_angle_alpha 90.00
_cell_angle_beta 90.00
_cell_angle_gamma 90.00
loop_
_atom_site_label
_atom_site_fract_x
_atom_site_fract_y
_atom_site_fract_z
Dy1 0.000 0.000 0.000
Er1 0.000 0.500 0.238
Er2 0.500 0.500 0.000
Er3 0.500 0.500 0.500
Os1 0.500 0.500 0.257
```